No. 1
Diffraction record for Nd2Cd3Ag3. The X-ray diffraction stick pattern is calculated, not measured: it uses a DFT-relaxed cell (GGA-PBE, Alexandria) and copper Kα.
Kinematic intensities with the Lorentz-polarization factor, no thermal factor.

Structural model:
Cell: 8.7665 8.7665 8.7665 Å, 33.72 33.72 33.72°
Element x y z (fractional)
Nd 0.0000 0.0000 0.0000
Nd 0.4953 0.4953 0.4953
Cd 0.2463 0.2463 0.2463
Cd 0.6219 0.6219 0.6219
Cd 0.7491 0.7491 0.7491
Ag 0.1249 0.1249 0.1249
Ag 0.3700 0.3700 0.3700
Ag 0.8736 0.8736 0.8736

Top 6 peaks for 2θ = 10–90°, by angle:
2θ (°)	d/Å	I (rel.)
35.30	2.543	100
35.43	2.534	98
50.88	1.795	34
63.41	1.467	51
63.69	1.461	16
85.44	1.136	15

***

No. 2
Diffraction record for NdCd2Ag9. The X-ray diffraction stick pattern is calculated, not measured: it uses a DFT-relaxed cell (GGA-PBE, Alexandria) and copper Kα.
Kinematic intensities with the Lorentz-polarization factor, no thermal factor.

Structural model:
Cell: 9.5811 9.5811 9.5811 Å, 34.22 34.22 34.22°
Element x y z (fractional)
Nd 0.0000 0.0000 0.0000
Cd 0.1429 0.1429 0.1429
Cd 0.8571 0.8571 0.8571
Ag 0.0809 0.5881 0.5881
Ag 0.3337 0.3337 0.3337
Ag 0.4119 0.4119 0.9191
Ag 0.4119 0.9191 0.4119
Ag 0.5000 0.5000 0.5000
Ag 0.5881 0.0809 0.5881
Ag 0.5881 0.5881 0.0809
Ag 0.6663 0.6663 0.6663
Ag 0.9191 0.4119 0.4119

Top 6 peaks for 2θ = 10–90°, by angle:
2θ (°)	d/Å	I (rel.)
31.75	2.818	26
36.98	2.431	30
37.64	2.389	100
40.55	2.225	30
60.49	1.531	24
66.33	1.409	23

***

What did the first record say?
Diffraction record for Nd2Cd3Ag3. The X-ray diffraction stick pattern is calculated, not measured: it uses a DFT-relaxed cell (GGA-PBE, Alexandria) and copper Kα.
Kinematic intensities with the Lorentz-polarization factor, no thermal factor.

Structural model:
Cell: 8.7665 8.7665 8.7665 Å, 33.72 33.72 33.72°
Element x y z (fractional)
Nd 0.0000 0.0000 0.0000
Nd 0.4953 0.4953 0.4953
Cd 0.2463 0.2463 0.2463
Cd 0.6219 0.6219 0.6219
Cd 0.7491 0.7491 0.7491
Ag 0.1249 0.1249 0.1249
Ag 0.3700 0.3700 0.3700
Ag 0.8736 0.8736 0.8736

Top 6 peaks for 2θ = 10–90°, by angle:
2θ (°)	d/Å	I (rel.)
35.30	2.543	100
35.43	2.534	98
50.88	1.795	34
63.41	1.467	51
63.69	1.461	16
85.44	1.136	15

***

Q: What is the formula in the second record?
A: NdCd2Ag9